Diffraction record for Zn3As2H16O16. The X-ray diffraction stick pattern is calculated, not measured: it uses a PBE-relaxed structure and λ = 1.5418 Å (Cu Kα).
Peak positions follow from Bragg's law for the DFT cell and can differ from measured ones.

Main lines, by angle (5° ≤ 2θ ≤ 70°):
| 2θ/deg | I/Imax |
| --- | --- |
| 10.32 | 52 |
| 13.35 | 100 |
| 21.95 | 21 |
| 26.14 | 51 |
| 27.44 | 70 |
| 28.22 | 23 |
| 29.46 | 36 |
| 31.31 | 43 |

Unit cell a=8.748 b=8.748 c=4.963 alpha=96.45 beta=96.45 gamma=98.63
Positions (direct):
Zn: 0.000 0.000 0.000
Zn: 0.378 0.622 0.000
Zn: 0.622 0.378 0.000
As: 0.314 0.314 0.367
As: 0.686 0.686 0.633
H: 0.006 0.796 0.376
H: 0.084 0.724 0.110
H: 0.113 0.501 0.070
H: 0.185 0.483 0.674
H: 0.204 0.994 0.624
H: 0.276 0.916 0.890
H: 0.483 0.185 0.674
H: 0.499 0.887 0.930
H: 0.501 0.113 0.070
H: 0.517 0.815 0.326
H: 0.724 0.084 0.110
H: 0.796 0.006 0.376
H: 0.815 0.517 0.326
H: 0.887 0.499 0.930
H: 0.916 0.276 0.890
H: 0.994 0.204 0.624
O: 0.048 0.818 0.207
O: 0.146 0.577 0.951
O: 0.165 0.165 0.334
O: 0.182 0.952 0.793
O: 0.265 0.484 0.537
O: 0.391 0.391 0.096
O: 0.423 0.854 0.049
O: 0.484 0.265 0.537
O: 0.516 0.735 0.463
O: 0.577 0.146 0.951
O: 0.609 0.609 0.904
O: 0.735 0.516 0.463
O: 0.818 0.048 0.207
O: 0.835 0.835 0.666
O: 0.854 0.423 0.049
O: 0.952 0.182 0.793


Diffraction record for Zn3As2H16O16. The X-ray diffraction stick pattern is calculated, not measured: it uses a PBE-relaxed structure and λ = 1.5418 Å (Cu Kα).
Peak positions follow from Bragg's law for the DFT cell and can differ from measured ones.

Main lines, by angle (5° ≤ 2θ ≤ 70°):
| 2θ/deg | I/Imax |
| --- | --- |
| 10.84 | 34 |
| 12.69 | 100 |
| 26.95 | 34 |
| 29.12 | 21 |
| 29.51 | 25 |
| 32.14 | 19 |
| 32.24 | 24 |
| 35.79 | 18 |

Unit cell a=8.712 b=8.712 c=4.802 alpha=99.21 beta=99.21 gamma=106.38
Positions (direct):
Zn: 0.000 0.000 0.000
Zn: 0.388 0.612 0.000
Zn: 0.612 0.388 0.000
As: 0.313 0.313 0.377
As: 0.687 0.687 0.623
H: 0.037 0.197 0.634
H: 0.062 0.309 0.943
H: 0.185 0.733 0.711
H: 0.186 0.566 0.514
H: 0.197 0.037 0.634
H: 0.267 0.815 0.289
H: 0.309 0.062 0.943
H: 0.434 0.814 0.486
H: 0.566 0.186 0.514
H: 0.691 0.938 0.057
H: 0.733 0.185 0.711
H: 0.803 0.963 0.366
H: 0.814 0.434 0.486
H: 0.815 0.267 0.289
H: 0.938 0.691 0.057
H: 0.963 0.803 0.366
O: 0.017 0.791 0.197
O: 0.147 0.147 0.384
O: 0.184 0.620 0.712
O: 0.209 0.983 0.803
O: 0.233 0.444 0.213
O: 0.380 0.816 0.288
O: 0.406 0.406 0.732
O: 0.444 0.233 0.213
O: 0.556 0.767 0.787
O: 0.594 0.594 0.268
O: 0.620 0.184 0.712
O: 0.767 0.556 0.787
O: 0.791 0.017 0.197
O: 0.816 0.380 0.288
O: 0.853 0.853 0.616
O: 0.983 0.209 0.803


Diffraction record for HfAs. The X-ray diffraction stick pattern is calculated, not measured: it uses a PBE-relaxed structure and λ = 1.5418 Å (Cu Kα).
Peak positions follow from Bragg's law for the DFT cell and can differ from measured ones.

Main lines, by angle (5° ≤ 2θ ≤ 70°):
| 2θ/deg | I/Imax |
| --- | --- |
| 27.09 | 18 |
| 27.99 | 32 |
| 34.41 | 100 |
| 39.26 | 32 |
| 44.84 | 24 |
| 47.87 | 52 |
| 57.62 | 19 |
| 60.27 | 20 |

Unit cell a=3.801 b=3.801 c=12.805 alpha=90.00 beta=90.00 gamma=120.00
Positions (direct):
Hf: 0.333 0.667 0.117
Hf: 0.333 0.667 0.383
Hf: 0.667 0.333 0.617
Hf: 0.667 0.333 0.883
As: 0.000 0.000 0.000
As: 0.000 0.000 0.500
As: 0.333 0.667 0.750
As: 0.667 0.333 0.250


Diffraction record for Hf15Mo11As2. The X-ray diffraction stick pattern is calculated, not measured: it uses a PBE-relaxed structure and λ = 1.5418 Å (Cu Kα).
Peak positions follow from Bragg's law for the DFT cell and can differ from measured ones.

Main lines, by angle (5° ≤ 2θ ≤ 70°):
| 2θ/deg | I/Imax |
| --- | --- |
| 31.78 | 24 |
| 32.59 | 26 |
| 38.50 | 100 |
| 39.19 | 26 |
| 43.10 | 16 |
| 64.04 | 18 |
| 65.00 | 18 |
| 67.80 | 18 |

Unit cell a=8.395 b=8.395 c=8.901 alpha=90.00 beta=90.00 gamma=120.00
Positions (direct):
Hf: 0.069 0.534 0.000
Hf: 0.199 0.398 0.298
Hf: 0.199 0.398 0.702
Hf: 0.199 0.801 0.298
Hf: 0.199 0.801 0.702
Hf: 0.405 0.203 0.214
Hf: 0.405 0.203 0.786
Hf: 0.466 0.534 0.000
Hf: 0.466 0.931 0.000
Hf: 0.602 0.801 0.298
Hf: 0.602 0.801 0.702
Hf: 0.797 0.203 0.214
Hf: 0.797 0.203 0.786
Hf: 0.797 0.595 0.214
Hf: 0.797 0.595 0.786
Mo: 0.000 0.000 0.257
Mo: 0.000 0.000 0.743
Mo: 0.109 0.219 0.000
Mo: 0.109 0.891 0.000
Mo: 0.229 0.115 0.500
Mo: 0.536 0.072 0.500
Mo: 0.536 0.464 0.500
Mo: 0.781 0.891 0.000
Mo: 0.885 0.115 0.500
Mo: 0.885 0.771 0.500
Mo: 0.928 0.464 0.500
As: 0.333 0.667 0.500
As: 0.667 0.333 0.000